Theoretical powder diffractogram
Compound: KCd6Pt
Radiation: Cu Kα
Structure: a cell relaxed with PBE
Kinematic intensities with the Lorentz-polarization factor, no thermal factor.

The 10 most intense peaks (2θ = 15–90°), in order of falling intensity:
(1 1 0), 37.13 deg, rel. 100
(0 1 8), 31.07 deg, rel. 51
(1 1 12), 51.20 deg, rel. 40
(0 1 11), 37.91 deg, rel. 34
(1 1 3), 38.13 deg, rel. 25
(0 0 12), 33.97 deg, rel. 22
(1 0 1), 21.37 deg, rel. 20
(3 0 0), 66.94 deg, rel. 17
(1 0 7), 29.03 deg, rel. 16
(1 1 9), 45.50 deg, rel. 16

Atomic structure:
abc: 4.8426 4.8426 31.6687
angles: 90.00 90.00 120.00
Space group R-3m (No. 166, hexagonal axes)
Asymmetric unit:
K: 0.0000 0.0000 0.0000 x3
Cd: 0.0000 0.0000 0.1446 x6
Cd: 0.0000 0.0000 0.2510 x6
Cd: 0.0000 0.0000 0.4125 x6
Pt: 0.0000 0.0000 0.5000 x3